This entry pairs a crystal structure of HgH3Pd6 with its theoretical powder diffraction line list. Radiation: Cu Kα. Structure: a crystal structure in Alexandria, relaxed with PBE.
Kinematic intensities with the Lorentz-polarization factor, no thermal factor.

Crystal structure
a b c (Å): 2.892 9.438 9.572
angles (deg): 70.55 86.26 83.09
Fractional positions:
Hg1 0.098 0.412 0.382
Hg2 0.902 0.588 0.618
H1 0.064 0.210 0.780
H2 0.131 0.677 0.012
H3 0.239 0.066 0.331
H4 0.761 0.934 0.669
H5 0.869 0.323 0.988
H6 0.936 0.790 0.220
Pd1 0.186 0.253 0.174
Pd2 0.204 0.030 0.740
Pd3 0.249 0.855 0.041
Pd4 0.301 0.862 0.543
Pd5 0.344 0.452 0.891
Pd6 0.453 0.688 0.340
Pd7 0.547 0.312 0.660
Pd8 0.656 0.548 0.109
Pd9 0.699 0.138 0.457
Pd10 0.751 0.145 0.959
Pd11 0.796 0.970 0.260
Pd12 0.814 0.747 0.826

The 10 most intense peaks (2θ = 10–90°), low angle first:
| 2θ (°) | Rel. int. |
| --- | --- |
| 35.5 | 21.5 |
| 36.0 | 30.3 |
| 37.8 | 80.0 |
| 38.6 | 15.1 |
| 39.0 | 100.0 |
| 40.7 | 40.3 |
| 41.3 | 41.3 |
| 41.7 | 52.8 |
| 44.6 | 31.1 |
| 64.7 | 28.9 |


This entry pairs a crystal structure of Ho4MgRh5 with its theoretical powder diffraction line list. Radiation: Cu Kα. Structure: a crystal structure in Alexandria, relaxed with PBE.
Kinematic intensities with the Lorentz-polarization factor, no thermal factor.

Crystal structure
a b c (Å): 3.376 3.376 16.571
angles (deg): 90.00 90.00 90.00
Fractional positions:
Ho1 0.000 0.000 0.104
Ho2 0.000 0.000 0.311
Ho3 0.000 0.000 0.689
Ho4 0.000 0.000 0.896
Mg1 0.000 0.000 0.500
Rh1 0.500 0.500 0.000
Rh2 0.500 0.500 0.205
Rh3 0.500 0.500 0.410
Rh4 0.500 0.500 0.590
Rh5 0.500 0.500 0.795

The 10 most intense peaks (2θ = 10–90°), low angle first:
| 2θ (°) | Rel. int. |
| --- | --- |
| 34.3 | 8.8 |
| 37.7 | 53.9 |
| 38.0 | 100.0 |
| 54.3 | 18.6 |
| 55.4 | 6.9 |
| 63.9 | 5.2 |
| 68.3 | 35.3 |
| 69.0 | 14.2 |
| 80.5 | 6.2 |
| 81.4 | 9.2 |


This entry pairs a crystal structure of Ti6MnTl3 with its theoretical powder diffraction line list. Radiation: Cu Kα. Structure: a crystal structure in Alexandria, relaxed with PBE.
Kinematic intensities with the Lorentz-polarization factor, no thermal factor.

Crystal structure
a b c (Å): 5.988 5.988 7.243
angles (deg): 108.14 108.14 59.18
Fractional positions:
Ti1 0.129 0.651 0.614
Ti2 0.305 0.305 0.212
Ti3 0.349 0.871 0.386
Ti4 0.651 0.129 0.614
Ti5 0.695 0.695 0.788
Ti6 0.871 0.349 0.386
Mn1 0.500 0.500 0.500
Tl1 0.000 0.000 0.000
Tl2 0.210 0.210 0.775
Tl3 0.790 0.790 0.225

The 10 most intense peaks (2θ = 10–90°), low angle first:
| 2θ (°) | Rel. int. |
| --- | --- |
| 17.6 | 32.3 |
| 23.9 | 100.0 |
| 26.2 | 23.4 |
| 30.0 | 45.3 |
| 30.2 | 29.7 |
| 34.4 | 41.2 |
| 37.5 | 75.7 |
| 40.4 | 66.5 |
| 48.5 | 25.9 |
| 48.9 | 24.0 |


This entry pairs a crystal structure of K2Rb7Cd2 with its theoretical powder diffraction line list. Radiation: Cu Kα. Structure: a crystal structure in Alexandria, relaxed with PBE.
Kinematic intensities with the Lorentz-polarization factor, no thermal factor.

Crystal structure
a b c (Å): 9.565 9.565 9.588
angles (deg): 96.70 96.70 112.84
Fractional positions:
K1 0.073 0.073 0.314
K2 0.927 0.927 0.686
Rb1 0.042 0.554 0.263
Rb2 0.296 0.296 0.982
Rb3 0.446 0.958 0.737
Rb4 0.500 0.500 0.500
Rb5 0.554 0.042 0.263
Rb6 0.704 0.704 0.018
Rb7 0.958 0.446 0.737
Cd1 0.150 0.850 0.000
Cd2 0.850 0.150 0.000

The 10 most intense peaks (2θ = 10–90°), low angle first:
| 2θ (°) | Rel. int. |
| --- | --- |
| 18.8 | 37.0 |
| 22.0 | 66.5 |
| 22.3 | 37.3 |
| 24.1 | 92.0 |
| 25.4 | 100.0 |
| 26.2 | 39.0 |
| 28.3 | 51.0 |
| 28.6 | 68.2 |
| 39.0 | 35.1 |
| 43.3 | 30.6 |


This entry pairs a crystal structure of Cu2OsNF with its theoretical powder diffraction line list. Radiation: Cu Kα. Structure: a crystal structure in Alexandria, relaxed with PBE.
Kinematic intensities with the Lorentz-polarization factor, no thermal factor.

Crystal structure
a b c (Å): 2.722 4.891 5.013
angles (deg): 112.22 90.02 106.06
Fractional positions:
Cu1 0.000 0.000 0.000
Cu2 0.339 0.680 0.551
Os1 0.693 0.387 0.830
N1 0.238 0.476 0.129
F1 0.547 0.093 0.381

The 10 most intense peaks (2θ = 10–90°), low angle first:
| 2θ (°) | Rel. int. |
| --- | --- |
| 19.3 | 100.0 |
| 20.6 | 38.4 |
| 33.6 | 52.2 |
| 36.3 | 22.2 |
| 37.7 | 96.1 |
| 38.4 | 55.8 |
| 44.7 | 31.4 |
| 44.8 | 24.0 |
| 45.9 | 56.0 |
| 49.7 | 41.4 |


This entry pairs a crystal structure of NaCd2In2Ag2 with its theoretical powder diffraction line list. Radiation: Cu Kα. Structure: a crystal structure in Alexandria, relaxed with PBE.
Kinematic intensities with the Lorentz-polarization factor, no thermal factor.

Crystal structure
a b c (Å): 8.406 8.406 8.406
angles (deg): 33.59 33.59 33.59
Fractional positions:
Na1 0.000 0.000 0.000
Cd1 0.133 0.133 0.133
Cd2 0.867 0.867 0.867
In1 0.265 0.265 0.265
In2 0.735 0.735 0.735
Ag1 0.409 0.409 0.409
Ag2 0.591 0.591 0.591

The 10 most intense peaks (2θ = 10–90°), low angle first:
| 2θ (°) | Rel. int. |
| --- | --- |
| 22.4 | 29.3 |
| 33.9 | 54.4 |
| 37.0 | 100.0 |
| 43.7 | 21.0 |
| 51.1 | 19.4 |
| 53.4 | 7.4 |
| 64.7 | 14.9 |
| 66.7 | 20.2 |
| 71.0 | 17.2 |
| 78.8 | 7.9 |